Ho2Er4Tl: theoretical X-ray powder pattern (Cu Kα, 1.54184 Å), based on a DFT-relaxed cell (GGA-PBE, Alexandria).

Peak list (12 most intense, 2θ from 10° to 90°, sorted by position)
| index | 2theta | I (rel.) |
| --- | --- | --- |
| 4 1 0 | 30.72 | 14 |
| 5 0 3 | 31.67 | 100 |
| 3 1 2 | 32.29 | 16 |
| 3 0 4 | 33.22 | 29 |
| 1 1 3 | 34.38 | 47 |
| 8 0 1 | 36.09 | 16 |
| 6 1 0 | 36.64 | 17 |
| 0 2 0 | 51.52 | 13 |
| 9 1 4 | 57.59 | 21 |
| 5 2 3 | 61.76 | 18 |
| 3 2 4 | 62.70 | 15 |
| 13 0 3 | 64.00 | 12 |

```
data_Ho2Er4Tl
_cell_length_a 20.3721
_cell_length_b 3.5475
_cell_length_c 11.7545
_cell_angle_alpha 90.00
_cell_angle_beta 90.00
_cell_angle_gamma 90.00
_space_group_name_H-M_alt 'P n m a'
_space_group_IT_number 62
loop_
_space_group_symop_operation_xyz
'x,y,z'
'-x,-y,-z'
'-x+1/2,-y,z+1/2'
'x+1/2,y,-z+1/2'
'x+1/2,-y+1/2,-z+1/2'
'-x+1/2,y+1/2,z+1/2'
'-x,y+1/2,-z'
'x,-y+1/2,z'
loop_
_atom_site_label
_atom_site_fract_x
_atom_site_fract_y
_atom_site_fract_z
Ho1 0.0990 0.2500 0.1657
Ho2 0.1574 0.7500 0.6664
Er1 0.0085 0.2500 0.6529
Er2 0.0616 0.7500 0.9138
Er3 0.2191 0.7500 0.3022
Er4 0.2208 0.7500 0.0220
Tl1 0.1134 0.2500 0.4461
```